The following is a simulated X-ray diffraction stick pattern of LiTlSn. It was derived from the GGA-PBE geometry in Alexandria, using Cu Kα (weighted mean of Kα1 and Kα2).

Atomic structure:
```
data_LiTlSn
_chemical_formula_sum 'Li2 Tl2 Sn2'
_space_group_name_H-M_alt 'P 1'
_space_group_IT_number 1
_cell_length_a 5.709
_cell_length_b 5.709
_cell_length_c 5.441
_cell_angle_alpha 92.80
_cell_angle_beta 92.80
_cell_angle_gamma 122.86
loop_
_space_group_symop_operation_xyz
'x,y,z'
loop_
_atom_site_label
_atom_site_type_symbol
_atom_site_fract_x
_atom_site_fract_y
_atom_site_fract_z
Li1 Li 0.231 0.231 0.260
Li2 Li 0.769 0.769 0.740
Tl1 Tl 0.099 0.436 0.737
Tl2 Tl 0.564 0.901 0.263
Sn1 Sn 0.427 0.115 0.772
Sn2 Sn 0.885 0.573 0.228
```

Peak list (8 most intense, 5° ≤ 2θ ≤ 70°, by angle)
2θ = 17.69°, intensity 61
2θ = 23.71°, intensity 76
2θ = 25.97°, intensity 63
2θ = 32.98°, intensity 56
2θ = 33.10°, intensity 56
2θ = 34.81°, intensity 100
2θ = 36.44°, intensity 88
2θ = 65.62°, intensity 32